Record 1
Pd2I5Br: computed PXRD pattern (Cu Ka), based on DFT lattice parameters and positions (PBE).
Kinematic intensities with the Lorentz-polarization factor, no thermal factor.

Peak list (12 most intense, 10 to 90 degrees two-theta, in order of rising 2θ)
- 14.64°, I 69.9
- 27.43°, I 17.8
- 28.96°, I 39.3
- 29.06°, I 100.0
- 37.80°, I 60.0
- 44.90°, I 29.2
- 45.12°, I 15.4
- 49.50°, I 31.0
- 54.52°, I 15.5
- 60.25°, I 12.3
- 75.01°, I 12.6
- 78.45°, I 11.8

Cell: 6.503 12.057 7.004 Å, 90.00 90.00 90.00°
Sites, in units of the cell vectors:
Pd (0.250, 0.000, 0.000)
Pd (0.250, 0.500, 0.500)
Pd (0.750, 0.000, 0.000)
Pd (0.750, 0.500, 0.500)
I (0.000, 0.000, 0.693)
I (0.000, 0.159, 0.168)
I (0.000, 0.341, 0.668)
I (0.000, 0.500, 0.193)
I (0.000, 0.659, 0.668)
I (0.000, 0.841, 0.168)
I (0.500, 0.160, 0.834)
I (0.500, 0.340, 0.334)
I (0.500, 0.660, 0.334)
I (0.500, 0.840, 0.834)
Br (0.500, 0.000, 0.290)
Br (0.500, 0.500, 0.790)

***

Record 2
PaTlS3: computed PXRD pattern (Cu Ka), based on DFT lattice parameters and positions (PBE).
Kinematic intensities with the Lorentz-polarization factor, no thermal factor.

Peak list (12 most intense, 10 to 90 degrees two-theta, in order of rising 2θ)
- 16.65°, I 37.8
- 22.06°, I 82.6
- 25.10°, I 100.0
- 25.41°, I 15.4
- 33.67°, I 32.1
- 35.75°, I 65.0
- 42.45°, I 33.1
- 44.23°, I 33.6
- 46.04°, I 19.7
- 51.51°, I 28.5
- 58.12°, I 15.2
- 75.83°, I 14.2

Cell: 8.209 8.209 8.209 Å, 51.20 51.20 51.20°
Sites, in units of the cell vectors:
Pa (0.164, 0.164, 0.164)
Pa (0.836, 0.836, 0.836)
Tl (0.362, 0.362, 0.362)
Tl (0.638, 0.638, 0.638)
S (0.035, 0.818, 0.437)
S (0.182, 0.563, 0.965)
S (0.437, 0.035, 0.818)
S (0.563, 0.965, 0.182)
S (0.818, 0.437, 0.035)
S (0.965, 0.182, 0.563)

***

Record 3
SrTbGe2: computed PXRD pattern (Cu Ka), based on DFT lattice parameters and positions (PBE).
Kinematic intensities with the Lorentz-polarization factor, no thermal factor.

Peak list (12 most intense, 10 to 90 degrees two-theta, in order of rising 2θ)
- 16.54°, I 17.4
- 26.28°, I 100.0
- 26.91°, I 39.3
- 29.77°, I 72.7
- 29.99°, I 45.9
- 37.97°, I 31.7
- 40.13°, I 64.7
- 40.29°, I 41.1
- 42.77°, I 34.7
- 49.12°, I 17.1
- 50.89°, I 41.5
- 62.99°, I 30.7

Cell: 3.391 6.001 11.919 Å, 90.00 90.00 90.00°
Sites, in units of the cell vectors:
Sr (0.000, 0.000, 0.000)
Sr (0.000, 0.500, 0.500)
Tb (0.000, 0.000, 0.698)
Tb (0.000, 0.500, 0.198)
Ge (0.000, 0.000, 0.257)
Ge (0.000, 0.000, 0.463)
Ge (0.000, 0.500, 0.757)
Ge (0.000, 0.500, 0.963)